1.
Sm7Ga2Sb2: theoretical XRD peak list (Cu Kα X-rays), based on a structure optimized by DFT (GGA-PBE).

Principal peaks in the range 2θ from 10° to 80°, in order of falling intensity:
Position (°2θ), Rel. int., h k l
36.15, 100, 2 2 2
27.62, 70, 2 2 0
32.60, 66, 0 4 0
35.49, 56, 1 3 2
26.75, 51, 1 1 2
25.07, 48, 2 0 1
34.61, 32, 0 0 3
66.76, 26, 2 6 3
32.13, 25, 2 0 2
68.46, 23, 4 4 3

Structural model:
```
data_Sm7Ga2Sb2
_symmetry_space_group_name_H-M 'C m m m'
_symmetry_Int_Tables_number 65
_symmetry_space_group_name_Hall '-C 2 2'
_cell_length_a 7.985
_cell_length_b 10.986
_cell_length_c 7.779
_cell_angle_alpha 90.00
_cell_angle_beta 90.00
_cell_angle_gamma 90.00
loop_
_atom_site_label
_atom_site_type_symbol
_atom_site_fract_x
_atom_site_fract_y
_atom_site_fract_z
Sm1 Sm 0.000 0.000 0.000
Sm2 Sm 0.000 0.500 0.280
Sm3 Sm 0.250 0.250 0.292
Ga1 Ga 0.165 0.000 0.500
Sb1 Sb 0.000 0.292 0.000
```



2.
BaSr8Ca4: theoretical XRD peak list (Cu Kα X-rays), based on a structure optimized by DFT (GGA-PBE).

Principal peaks in the range 2θ from 10° to 80°, in order of falling intensity:
Position (°2θ), Rel. int., h k l
26.17, 100, 3 2 1
30.24, 35, 1 5 0
51.29, 30, 8 1 1
43.43, 25, 1 5 2
30.43, 17, 0 0 2
51.53, 15, 3 2 3
53.84, 13, 6 4 2
43.29, 12, 6 4 0
69.52, 12, 8 1 3
79.52, 8, 11 3 2

Structural model:
```
data_BaSr8Ca4
_symmetry_space_group_name_H-M 'I 4/m'
_symmetry_Int_Tables_number 87
_symmetry_space_group_name_Hall '-I 4'
_cell_length_a 15.070
_cell_length_b 15.070
_cell_length_c 5.875
_cell_angle_alpha 90.00
_cell_angle_beta 90.00
_cell_angle_gamma 90.00
loop_
_atom_site_label
_atom_site_type_symbol
_atom_site_fract_x
_atom_site_fract_y
_atom_site_fract_z
Ba1 Ba 0.000 0.000 0.000
Sr1 Sr 0.041 0.195 0.500
Sr2 Sr 0.079 0.382 0.000
Ca1 Ca 0.157 0.766 0.000
```



3.
Pr2PuCdO8: theoretical XRD peak list (Cu Kα X-rays), based on a structure optimized by DFT (GGA-PBE).

Principal peaks in the range 2θ from 10° to 80°, in order of falling intensity:
Position (°2θ), Rel. int., h k l
28.32, 100, 0 2 1
25.00, 73, 1 0 -1
31.11, 56, 1 2 0
27.99, 51, 1 0 1
44.19, 40, 1 2 -2
47.89, 30, 1 2 2
33.11, 21, 0 0 2
42.17, 20, 2 0 0
49.85, 20, 2 2 -1
53.26, 19, 2 2 1

Structural model:
```
data_Pr2PuCdO8
_symmetry_space_group_name_H-M 'P 1 2/m 1'
_symmetry_Int_Tables_number 10
_symmetry_space_group_name_Hall '-P 2y'
_cell_length_a 4.314
_cell_length_b 7.754
_cell_length_c 5.446
_cell_angle_alpha 90.00
_cell_angle_beta 96.52
_cell_angle_gamma 90.00
loop_
_atom_site_label
_atom_site_type_symbol
_atom_site_fract_x
_atom_site_fract_y
_atom_site_fract_z
Pr1 Pr 0.000 0.243 0.000
Pu1 Pu 0.500 0.500 0.500
Cd1 Cd 0.500 0.000 0.500
O1 O 0.094 0.500 0.285
O2 O 0.124 0.000 0.235
O3 O 0.426 0.306 0.731
```



4.
AcPm11: theoretical XRD peak list (Cu Kα X-rays), based on a structure optimized by DFT (GGA-PBE).

Principal peaks in the range 2θ from 10° to 80°, in order of falling intensity:
Position (°2θ), Rel. int., h k l
30.80, 100, 2 2 0
30.40, 58, 2 0 1
29.04, 31, 1 1 1
60.18, 30, 2 2 2
54.52, 21, 4 2 1
43.82, 20, 4 0 1
54.77, 18, 6 0 0
36.51, 18, 3 0 1
48.49, 14, 4 1 1
77.58, 13, 6 0 2

Structural model:
```
data_AcPm11
_symmetry_space_group_name_H-M 'P 6/m m m'
_symmetry_Int_Tables_number 191
_symmetry_space_group_name_Hall '-P 6 2'
_cell_length_a 11.6126
_cell_length_b 11.6126
_cell_length_c 3.6253
_cell_angle_alpha 90.00
_cell_angle_beta 90.00
_cell_angle_gamma 120.00
loop_
_atom_site_label
_atom_site_type_symbol
_atom_site_fract_x
_atom_site_fract_y
_atom_site_fract_z
Ac1 Ac 0.0000 0.0000 0.0000
Pm1 Pm 0.0000 0.5000 0.0000
Pm2 Pm 0.1772 0.3545 0.5000
Pm3 Pm 0.3333 0.6667 0.0000
```